Entry 1:
Starting from a PBE+U-relaxed structure, the X-ray diffraction stick pattern of MnMoO4 was simulated for Cu Ka.
No peak broadening, texture or thermal motion is included.

Atomic structure:
a = 4.795 Å, b = 5.034 Å, c = 5.808 Å
α = 90.03°, β = 90.04°, γ = 90.56°
Fractional coordinates of all 12 atoms:
Mn1 0.000 0.000 0.000
Mn2 0.001 0.499 0.344
Mo1 0.501 0.500 0.847
Mo2 0.501 0.999 0.486
O1 0.245 0.345 0.036
O2 0.246 0.857 0.286
O3 0.283 0.812 0.774
O4 0.291 0.311 0.560
O5 0.711 0.687 0.560
O6 0.720 0.187 0.773
O7 0.756 0.142 0.287
O8 0.758 0.653 0.037

Top 10 peaks for 2θ from 10° to 90°, in order of rising 2θ:
- 18.5°, I = 20
- 23.4°, I = 21
- 24.1°, I = 53
- 29.9°, I = 100
- 30.1°, I = 97
- 30.8°, I = 18
- 35.7°, I = 51
- 50.9°, I = 27
- 52.6°, I = 20
- 52.9°, I = 25

***

Entry 2:
Starting from a PBE+U-relaxed structure, the X-ray diffraction stick pattern of Li9Mn7O16 was simulated for Cu Ka.
No peak broadening, texture or thermal motion is included.

Atomic structure:
a = 8.857 Å, b = 2.881 Å, c = 11.710 Å
α = 90.00°, β = 90.86°, γ = 90.00°
Fractional coordinates of all 32 atoms:
Li1 0.000 0.000 0.000
Li2 0.000 0.000 0.500
Li3 0.254 0.500 0.376
Li4 0.269 0.500 0.878
Li5 0.494 0.000 0.242
Li6 0.500 0.000 0.000
Li7 0.506 0.000 0.758
Li8 0.731 0.500 0.122
Li9 0.746 0.500 0.624
Mn1 0.009 0.000 0.247
Mn2 0.250 0.500 0.629
Mn3 0.267 0.500 0.121
Mn4 0.500 0.000 0.500
Mn5 0.733 0.500 0.879
Mn6 0.750 0.500 0.371
Mn7 0.991 0.000 0.753
O1 0.008 0.500 0.361
O2 0.023 0.500 0.132
O3 0.241 0.000 0.514
O4 0.248 0.000 0.009
O5 0.253 0.000 0.744
O6 0.257 0.000 0.235
O7 0.473 0.500 0.124
O8 0.494 0.500 0.386
O9 0.506 0.500 0.614
O10 0.527 0.500 0.876
O11 0.743 0.000 0.765
O12 0.747 0.000 0.256
O13 0.752 0.000 0.991
O14 0.759 0.000 0.486
O15 0.977 0.500 0.868
O16 0.992 0.500 0.639

Top 10 peaks for 2θ from 10° to 90°, in order of rising 2θ:
- 18.3°, I = 100
- 33.8°, I = 18
- 36.1°, I = 23
- 40.8°, I = 34
- 44.1°, I = 56
- 46.9°, I = 10
- 58.2°, I = 9
- 61.2°, I = 16
- 62.0°, I = 17
- 64.7°, I = 7

***

Entry 3:
Starting from a PBE+U-relaxed structure, the X-ray diffraction stick pattern of Li7Mn5O12 was simulated for Cu Ka.
No peak broadening, texture or thermal motion is included.

Atomic structure:
a = 5.296 Å, b = 6.057 Å, c = 15.062 Å
α = 97.70°, β = 93.89°, γ = 111.00°
Fractional coordinates of all 48 atoms:
Li1 0.000 0.000 0.000
Li2 0.085 0.676 0.577
Li3 0.108 0.141 0.582
Li4 0.225 0.509 0.743
Li5 0.242 0.999 0.747
Li6 0.407 0.851 0.917
Li7 0.414 0.329 0.921
Li8 0.500 0.000 0.500
Li9 0.586 0.671 0.079
Li10 0.593 0.149 0.083
Li11 0.758 0.001 0.253
Li12 0.775 0.491 0.257
Li13 0.892 0.859 0.418
Li14 0.915 0.324 0.423
Mn1 0.000 0.500 0.000
Mn2 0.160 0.841 0.165
Mn3 0.166 0.336 0.165
Mn4 0.337 0.671 0.336
Mn5 0.343 0.162 0.336
Mn6 0.500 0.500 0.500
Mn7 0.657 0.838 0.664
Mn8 0.663 0.329 0.664
Mn9 0.834 0.664 0.835
Mn10 0.840 0.159 0.835
O1 0.052 0.848 0.285
O2 0.061 0.351 0.286
O3 0.082 0.000 0.870
O4 0.120 0.477 0.881
O5 0.223 0.182 0.455
O6 0.249 0.643 0.458
O7 0.251 0.355 0.043
O8 0.277 0.819 0.045
O9 0.381 0.517 0.620
O10 0.389 0.019 0.628
O11 0.405 0.677 0.205
O12 0.445 0.152 0.209
O13 0.555 0.848 0.791
O14 0.595 0.323 0.795
O15 0.611 0.981 0.372
O16 0.619 0.483 0.380
O17 0.723 0.181 0.955
O18 0.749 0.645 0.957
O19 0.751 0.357 0.542
O20 0.777 0.818 0.545
O21 0.880 0.523 0.119
O22 0.918 0.000 0.130
O23 0.939 0.649 0.714
O24 0.948 0.152 0.715

Top 10 peaks for 2θ from 10° to 90°, in order of rising 2θ:
- 18.3°, I = 100
- 33.9°, I = 16
- 36.4°, I = 25
- 40.5°, I = 35
- 44.5°, I = 55
- 61.5°, I = 8
- 61.7°, I = 8
- 61.8°, I = 8
- 62.0°, I = 8
- 65.1°, I = 7

***

Entry 4:
Starting from a PBE+U-relaxed structure, the X-ray diffraction stick pattern of KBaEuWO6 was simulated for Cu Ka.
No peak broadening, texture or thermal motion is included.

Atomic structure:
a = 6.039 Å, b = 6.039 Å, c = 6.039 Å
α = 60.00°, β = 60.00°, γ = 60.00°
Fractional coordinates of all 10 atoms:
K1 0.000 0.000 0.000
Ba1 0.500 0.500 0.500
Eu1 0.750 0.750 0.750
W1 0.250 0.250 0.250
O1 0.021 0.021 0.479
O2 0.021 0.479 0.021
O3 0.021 0.479 0.479
O4 0.479 0.021 0.021
O5 0.479 0.021 0.479
O6 0.479 0.479 0.021

Top 10 peaks for 2θ from 10° to 90°, in order of rising 2θ:
- 18.0°, I = 10
- 20.8°, I = 20
- 29.6°, I = 100
- 42.3°, I = 30
- 47.6°, I = 9
- 52.5°, I = 40
- 61.4°, I = 18
- 69.6°, I = 18
- 77.4°, I = 6
- 85.0°, I = 22

***

Entry 5:
Starting from a PBE+U-relaxed structure, the X-ray diffraction stick pattern of Li4Fe2Co3Ni3O16 was simulated for Cu Ka.
No peak broadening, texture or thermal motion is included.

Atomic structure:
a = 5.778 Å, b = 5.778 Å, c = 9.414 Å
α = 91.40°, β = 91.40°, γ = 59.05°
Fractional coordinates of all 28 atoms:
Li1 0.000 0.000 0.000
Li2 0.006 0.006 0.502
Li3 0.342 0.342 0.603
Li4 0.670 0.670 0.103
Fe1 0.331 0.331 0.006
Fe2 0.672 0.672 0.512
Co1 0.174 0.668 0.285
Co2 0.668 0.174 0.285
Co3 0.834 0.834 0.785
Ni1 0.174 0.174 0.284
Ni2 0.342 0.834 0.783
Ni3 0.834 0.342 0.783
O1 0.001 0.001 0.189
O2 0.042 0.493 0.166
O3 0.151 0.672 0.897
O4 0.160 0.160 0.898
O5 0.329 0.835 0.394
O6 0.343 0.343 0.390
O7 0.485 0.485 0.169
O8 0.493 0.042 0.166
O9 0.524 0.524 0.662
O10 0.536 0.972 0.659
O11 0.672 0.151 0.897
O12 0.672 0.672 0.886
O13 0.835 0.329 0.394
O14 0.846 0.846 0.389
O15 0.972 0.536 0.659
O16 0.999 0.999 0.692

Top 10 peaks for 2θ from 10° to 90°, in order of rising 2θ:
- 18.9°, I = 100
- 20.1°, I = 45
- 20.4°, I = 40
- 36.1°, I = 24
- 36.9°, I = 45
- 37.4°, I = 24
- 37.7°, I = 24
- 46.4°, I = 28
- 47.0°, I = 36
- 64.5°, I = 34

***

Entry 6:
Starting from a PBE+U-relaxed structure, the X-ray diffraction stick pattern of Cr3Sn3Sb2O16 was simulated for Cu Ka.
No peak broadening, texture or thermal motion is included.

Atomic structure:
a = 6.178 Å, b = 6.178 Å, c = 9.356 Å
α = 90.82°, β = 90.82°, γ = 59.88°
Fractional coordinates of all 24 atoms:
Cr1 0.000 0.000 0.000
Cr2 0.169 0.659 0.503
Cr3 0.659 0.169 0.503
Sn1 0.493 0.998 0.998
Sn2 0.660 0.660 0.490
Sn3 0.998 0.493 0.998
Sb1 0.155 0.155 0.282
Sb2 0.489 0.489 0.775
O1 0.004 0.484 0.387
O2 0.156 0.156 0.887
O3 0.170 0.661 0.887
O4 0.296 0.872 0.129
O5 0.305 0.305 0.140
O6 0.340 0.778 0.629
O7 0.351 0.351 0.621
O8 0.483 0.483 0.394
O9 0.484 0.004 0.387
O10 0.655 0.655 0.881
O11 0.661 0.170 0.887
O12 0.778 0.340 0.629
O13 0.835 0.835 0.096
O14 0.839 0.839 0.580
O15 0.872 0.296 0.129
O16 0.997 0.997 0.394

Top 10 peaks for 2θ from 10° to 90°, in order of rising 2θ:
- 19.0°, I = 89
- 19.2°, I = 100
- 25.4°, I = 23
- 33.4°, I = 23
- 33.5°, I = 25
- 34.6°, I = 22
- 34.8°, I = 55
- 35.0°, I = 61
- 44.9°, I = 24
- 59.9°, I = 36

***

Entry 7:
Starting from a PBE+U-relaxed structure, the X-ray diffraction stick pattern of BaCoF4 was simulated for Cu Ka.
No peak broadening, texture or thermal motion is included.

Atomic structure:
a = 7.726 Å, b = 7.726 Å, c = 6.008 Å
α = 90.00°, β = 90.00°, γ = 148.25°
Fractional coordinates of all 12 atoms:
Ba1 0.148 0.852 0.500
Ba2 0.852 0.148 0.000
Co1 0.414 0.586 0.454
Co2 0.586 0.414 0.954
F1 0.076 0.924 0.939
F2 0.301 0.699 0.263
F3 0.338 0.662 0.731
F4 0.469 0.531 0.130
F5 0.531 0.469 0.630
F6 0.662 0.338 0.231
F7 0.699 0.301 0.763
F8 0.924 0.076 0.439

Top 10 peaks for 2θ from 10° to 90°, in order of rising 2θ:
- 19.0°, I = 26
- 23.9°, I = 40
- 26.5°, I = 100
- 27.7°, I = 25
- 28.2°, I = 42
- 29.7°, I = 28
- 31.6°, I = 24
- 40.0°, I = 36
- 41.1°, I = 42
- 42.8°, I = 30

***

Entry 8:
Starting from a PBE+U-relaxed structure, the X-ray diffraction stick pattern of CsVH12C4O14 was simulated for Cu Ka.
No peak broadening, texture or thermal motion is included.

Atomic structure:
a = 5.978 Å, b = 5.980 Å, c = 10.338 Å
α = 81.31°, β = 81.35°, γ = 78.11°
Fractional coordinates of all 32 atoms:
Cs1 0.000 0.000 0.000
V1 0.505 0.492 0.501
H1 0.100 0.881 0.349
H2 0.118 0.896 0.655
H3 0.170 0.372 0.164
H4 0.213 0.197 0.514
H5 0.300 0.282 0.351
H6 0.382 0.160 0.161
H7 0.630 0.831 0.832
H8 0.713 0.697 0.648
H9 0.798 0.783 0.484
H10 0.843 0.619 0.834
H11 0.887 0.091 0.348
H12 0.906 0.108 0.653
C1 0.267 0.460 0.764
C2 0.475 0.255 0.764
C3 0.534 0.728 0.239
C4 0.742 0.524 0.238
O1 0.076 0.065 0.652
O2 0.129 0.487 0.866
O3 0.255 0.592 0.652
O4 0.310 0.291 0.448
O5 0.322 0.310 0.195
O6 0.400 0.738 0.350
O7 0.501 0.114 0.864
O8 0.508 0.869 0.137
O9 0.610 0.248 0.653
O10 0.693 0.680 0.800
O11 0.699 0.691 0.550
O12 0.752 0.390 0.350
O13 0.883 0.498 0.138
O14 0.931 0.922 0.350

Top 10 peaks for 2θ from 10° to 90°, in order of rising 2θ:
- 16.6°, I = 100
- 18.5°, I = 44
- 23.6°, I = 38
- 28.8°, I = 41
- 29.5°, I = 20
- 31.0°, I = 26
- 31.4°, I = 38
- 31.8°, I = 21
- 32.2°, I = 27
- 38.7°, I = 19